(1)
InCuC: theoretical XRD peak list (Cu Kα (weighted mean of Kα1 and Kα2)), based on a crystal structure in Alexandria, relaxed with GGA-PBE.

Main lines, by angle (10° ≤ 2θ ≤ 80°):
| 2theta | d/Å | I_rel |
| --- | --- | --- |
| 31.62 | 2.830 | 72 |
| 33.18 | 2.700 | 47 |
| 35.65 | 2.519 | 100 |
| 36.01 | 2.494 | 69 |
| 40.94 | 2.204 | 46 |
| 46.78 | 1.942 | 39 |

Structure:
abc: 3.476 4.874 6.131
angles: 67.66 73.57 89.92
Element x y z (fractional)
In 0.127 0.273 0.246
In 0.873 0.727 0.754
Cu 0.326 0.154 0.844
Cu 0.674 0.846 0.156
C 0.473 0.598 0.555
C 0.527 0.402 0.445


(2)
Cu3Sb4O6F6: theoretical XRD peak list (Cu Kα (weighted mean of Kα1 and Kα2)), based on a crystal structure in Alexandria, relaxed with GGA-PBE.

Main lines, by angle (10° ≤ 2θ ≤ 80°):
| 2theta | d/Å | I_rel |
| --- | --- | --- |
| 26.63 | 3.347 | 100 |
| 30.85 | 2.899 | 17 |
| 34.60 | 2.593 | 47 |
| 47.02 | 1.932 | 35 |
| 49.73 | 1.833 | 25 |
| 62.00 | 1.497 | 20 |

Structure:
abc: 7.100 7.100 7.100
angles: 109.47 109.47 109.47
Element x y z (fractional)
Cu 0.000 0.500 0.500
Cu 0.500 0.000 0.500
Cu 0.500 0.500 0.000
Sb 0.000 0.000 0.326
Sb 0.000 0.326 0.000
Sb 0.326 0.000 0.000
Sb 0.674 0.674 0.674
O 0.000 0.253 0.253
O 0.000 0.747 0.747
O 0.253 0.000 0.253
O 0.253 0.253 0.000
O 0.747 0.000 0.747
O 0.747 0.747 0.000
F 0.250 0.500 0.750
F 0.250 0.750 0.500
F 0.500 0.250 0.750
F 0.500 0.750 0.250
F 0.750 0.250 0.500
F 0.750 0.500 0.250


(3)
HgPb: theoretical XRD peak list (Cu Kα (weighted mean of Kα1 and Kα2)), based on a crystal structure in Alexandria, relaxed with GGA-PBE.

Main lines, by angle (10° ≤ 2θ ≤ 80°):
| 2theta | d/Å | I_rel |
| --- | --- | --- |
| 29.07 | 3.071 | 13 |
| 32.59 | 2.747 | 100 |
| 35.81 | 2.508 | 51 |
| 56.01 | 1.642 | 43 |
| 66.33 | 1.409 | 13 |
| 70.21 | 1.341 | 15 |

Structure:
abc: 6.143 6.143 6.143
angles: 90.00 90.00 90.00
Element x y z (fractional)
Hg 0.095 0.405 0.595
Hg 0.405 0.595 0.095
Hg 0.595 0.095 0.405
Hg 0.905 0.905 0.905
Pb 0.100 0.900 0.400
Pb 0.400 0.100 0.900
Pb 0.600 0.600 0.600
Pb 0.900 0.400 0.100


(4)
AcPrCuRu: theoretical XRD peak list (Cu Kα (weighted mean of Kα1 and Kα2)), based on a crystal structure in Alexandria, relaxed with GGA-PBE.

Main lines, by angle (10° ≤ 2θ ≤ 80°):
| 2theta | d/Å | I_rel |
| --- | --- | --- |
| 25.85 | 3.447 | 29 |
| 30.70 | 2.912 | 100 |
| 32.30 | 2.771 | 26 |
| 32.45 | 2.759 | 44 |
| 38.51 | 2.338 | 53 |
| 41.01 | 2.201 | 26 |

Structure:
abc: 4.401 4.147 11.085
angles: 90.00 90.00 90.00
Element x y z (fractional)
Ac 0.000 0.000 0.000
Ac 0.000 0.500 0.500
Pr 0.500 0.000 0.279
Pr 0.500 0.500 0.779
Cu 0.500 0.000 0.577
Cu 0.500 0.500 0.077
Ru 0.000 0.000 0.718
Ru 0.000 0.500 0.218


(5)
TbSm2Cu2Si2: theoretical XRD peak list (Cu Kα (weighted mean of Kα1 and Kα2)), based on a crystal structure in Alexandria, relaxed with GGA-PBE.

Main lines, by angle (10° ≤ 2θ ≤ 80°):
| 2theta | d/Å | I_rel |
| --- | --- | --- |
| 25.16 | 3.539 | 46 |
| 27.35 | 3.261 | 26 |
| 31.68 | 2.825 | 48 |
| 33.47 | 2.677 | 100 |
| 37.48 | 2.400 | 36 |
| 44.05 | 2.056 | 65 |

Structure:
abc: 11.085 11.085 11.085
angles: 21.37 21.37 21.37
Element x y z (fractional)
Tb 0.000 0.000 0.000
Sm 0.119 0.119 0.119
Sm 0.881 0.881 0.881
Cu 0.393 0.393 0.393
Cu 0.607 0.607 0.607
Si 0.274 0.274 0.274
Si 0.726 0.726 0.726


(6)
Rb2NbCu2O6: theoretical XRD peak list (Cu Kα (weighted mean of Kα1 and Kα2)), based on a crystal structure in Alexandria, relaxed with GGA-PBE.

Main lines, by angle (10° ≤ 2θ ≤ 80°):
| 2theta | d/Å | I_rel |
| --- | --- | --- |
| 30.11 | 2.968 | 97 |
| 30.56 | 2.925 | 100 |
| 43.43 | 2.084 | 29 |
| 53.46 | 1.714 | 18 |
| 53.75 | 1.705 | 42 |
| 62.58 | 1.484 | 18 |

Structure:
abc: 6.847 6.847 6.847
angles: 51.39 51.39 51.39
Element x y z (fractional)
Rb 0.214 0.214 0.214
Rb 0.786 0.786 0.786
Nb 0.000 0.000 0.000
Cu 0.404 0.404 0.404
Cu 0.596 0.596 0.596
O 0.225 0.225 0.756
O 0.225 0.756 0.225
O 0.244 0.775 0.775
O 0.756 0.225 0.225
O 0.775 0.244 0.775
O 0.775 0.775 0.244


(7)
Na2Sr5In: theoretical XRD peak list (Cu Kα (weighted mean of Kα1 and Kα2)), based on a crystal structure in Alexandria, relaxed with GGA-PBE.

Main lines, by angle (10° ≤ 2θ ≤ 80°):
| 2theta | d/Å | I_rel |
| --- | --- | --- |
| 24.41 | 3.646 | 40 |
| 26.92 | 3.313 | 100 |
| 28.30 | 3.154 | 86 |
| 31.77 | 2.817 | 60 |
| 44.61 | 2.031 | 25 |
| 47.86 | 1.901 | 21 |

Structure:
abc: 10.939 10.939 10.939
angles: 131.95 131.95 70.31
Element x y z (fractional)
Na 0.123 0.623 0.745
Na 0.377 0.123 0.500
Na 0.623 0.877 0.500
Na 0.877 0.377 0.255
Sr 0.000 0.000 0.000
Sr 0.014 0.169 0.500
Sr 0.169 0.669 0.155
Sr 0.331 0.486 0.500
Sr 0.486 0.986 0.155
Sr 0.500 0.500 0.000
Sr 0.514 0.014 0.845
Sr 0.669 0.514 0.500
Sr 0.831 0.331 0.845
Sr 0.986 0.831 0.500
In 0.250 0.250 0.000
In 0.750 0.750 0.000


(8)
CuS5: theoretical XRD peak list (Cu Kα (weighted mean of Kα1 and Kα2)), based on a crystal structure in Alexandria, relaxed with GGA-PBE.

Main lines, by angle (10° ≤ 2θ ≤ 80°):
| 2theta | d/Å | I_rel |
| --- | --- | --- |
| 10.78 | 8.210 | 50 |
| 22.24 | 3.997 | 49 |
| 22.47 | 3.957 | 81 |
| 24.17 | 3.683 | 100 |
| 30.52 | 2.929 | 47 |
| 30.74 | 2.909 | 96 |

Structure:
abc: 4.125 4.148 16.423
angles: 89.79 88.86 83.40
Element x y z (fractional)
Cu 0.125 0.058 0.212
Cu 0.875 0.942 0.788
S 0.122 0.364 0.952
S 0.180 0.548 0.142
S 0.315 0.138 0.461
S 0.376 0.962 0.728
S 0.442 0.651 0.627
S 0.558 0.349 0.373
S 0.624 0.038 0.272
S 0.685 0.862 0.539
S 0.820 0.452 0.858
S 0.878 0.636 0.048


(9)
Sm5ZrN6: theoretical XRD peak list (Cu Kα (weighted mean of Kα1 and Kα2)), based on a crystal structure in Alexandria, relaxed with GGA-PBE.

Main lines, by angle (10° ≤ 2θ ≤ 80°):
| 2theta | d/Å | I_rel |
| --- | --- | --- |
| 31.08 | 2.877 | 100 |
| 36.04 | 2.492 | 74 |
| 51.89 | 1.762 | 51 |
| 61.73 | 1.503 | 45 |
| 64.81 | 1.439 | 17 |
| 76.45 | 1.246 | 8 |

Structure:
abc: 6.104 6.104 6.101
angles: 99.60 99.60 119.96
Element x y z (fractional)
Sm 0.000 0.000 0.000
Sm 0.167 0.833 0.500
Sm 0.335 0.665 0.000
Sm 0.665 0.335 0.000
Sm 0.833 0.167 0.500
Zr 0.500 0.500 0.500
N 0.107 0.421 0.262
N 0.265 0.265 0.741
N 0.421 0.107 0.262
N 0.579 0.893 0.738
N 0.735 0.735 0.259
N 0.893 0.579 0.738


(10)
Co5Ni4Pt: theoretical XRD peak list (Cu Kα (weighted mean of Kα1 and Kα2)), based on a crystal structure in Alexandria, relaxed with GGA-PBE.

Main lines, by angle (10° ≤ 2θ ≤ 80°):
| 2theta | d/Å | I_rel |
| --- | --- | --- |
| 21.54 | 4.126 | 15 |
| 43.74 | 2.070 | 98 |
| 43.88 | 2.063 | 100 |
| 51.01 | 1.791 | 61 |
| 51.10 | 1.787 | 31 |
| 75.13 | 1.264 | 27 |

Structure:
abc: 4.377 4.380 6.701
angles: 102.66 108.86 99.62
Element x y z (fractional)
Co 0.000 0.000 0.000
Co 0.009 0.509 0.520
Co 0.413 0.706 0.905
Co 0.602 0.290 0.102
Co 0.803 0.405 0.806
Ni 0.208 0.106 0.711
Ni 0.418 0.214 0.418
Ni 0.614 0.809 0.617
Ni 0.816 0.920 0.315
Pt 0.208 0.605 0.210


(11)
TmFe3B3: theoretical XRD peak list (Cu Kα (weighted mean of Kα1 and Kα2)), based on a crystal structure in Alexandria, relaxed with GGA-PBE.

Main lines, by angle (10° ≤ 2θ ≤ 80°):
| 2theta | d/Å | I_rel |
| --- | --- | --- |
| 13.47 | 6.572 | 37 |
| 27.14 | 3.286 | 42 |
| 32.48 | 2.756 | 39 |
| 40.45 | 2.230 | 100 |
| 41.21 | 2.191 | 39 |
| 47.28 | 1.923 | 44 |

Structure:
abc: 7.589 7.589 3.036
angles: 90.00 90.00 120.00
Element x y z (fractional)
Tm 0.333 0.667 0.250
Tm 0.667 0.333 0.750
Fe 0.071 0.308 0.750
Fe 0.236 0.929 0.750
Fe 0.308 0.236 0.250
Fe 0.692 0.764 0.750
Fe 0.764 0.071 0.250
Fe 0.929 0.692 0.250
B 0.037 0.582 0.750
B 0.418 0.455 0.750
B 0.455 0.037 0.250
B 0.545 0.963 0.750
B 0.582 0.545 0.250
B 0.963 0.418 0.250